Starting from a PBE-relaxed structure, the PXRD pattern of NbInN was calculated for Cu Kα (λ = 1.5418 Å).
Peak positions follow from Bragg's law for the DFT cell and can differ from measured ones.

Crystal structure
```
data_NbInN
_symmetry_space_group_name_H-M 'P 1'
_symmetry_Int_Tables_number 1
_symmetry_space_group_name_Hall 'P 1'
_cell_length_a 3.000
_cell_length_b 3.000
_cell_length_c 6.065
_cell_angle_alpha 90.00
_cell_angle_beta 90.00
_cell_angle_gamma 90.00
loop_
_atom_site_label
_atom_site_type_symbol
_atom_site_fract_x
_atom_site_fract_y
_atom_site_fract_z
_atom_site_occupancy
Nb1 Nb 0.000 0.000 0.000 1
In1 In 0.000 0.000 0.500 1
N1 N 0.500 0.500 0.000 1
```

Principal peaks in the range 5° ≤ 2θ ≤ 70°, sorted by position:
29.45°, rel. 674; 29.78°, rel. 1000; 33.32°, rel. 46; 42.38°, rel. 764; 42.62°, rel. 476; 52.65°, rel. 498; 61.11°, rel. 78; 61.85°, rel. 150; 69.45°, rel. 173; 69.97°, rel. 204